Diffraction record for UAgAs. The X-ray powder pattern is calculated, not measured: it uses a cell relaxed with PBE and Cu Kα, 1.54184 Å.
Peak positions follow from Bragg's law for the DFT cell and can differ from measured ones.

Largest 6 diffraction maxima, by angle, 10° ≤ 2θ ≤ 80°:
two_theta, d [Å], I/Imax
30.45, 2.935, 1000
34.35, 2.611, 522
36.93, 2.434, 564
37.05, 2.426, 886
44.04, 2.056, 436
46.46, 1.955, 381

Cell: 5.501 5.501 6.836 Å, 115.76 115.76 43.89°
Element x y z (fractional)
U1 0.042 0.042 0.361
U2 0.958 0.958 0.639
Ag1 0.353 0.353 0.939
Ag2 0.647 0.647 0.061
As1 0.312 0.312 0.306
As2 0.688 0.688 0.694